Structure and calculated XRD peak list of Li2VCuP2O8 (a PBE+U-relaxed structure; Cu Kα X-rays).

Structural model:
a b c (Å): 4.7594 6.0902 10.2949
angles (deg): 90.00 91.08 90.00
Positions (direct):
Li  0.0000  0.0000  0.0000
Li  0.0000  0.5000  0.0000
Li  0.5000  0.0000  0.5000
Li  0.5000  0.5000  0.5000
V  0.0172  0.2500  0.2813
V  0.9828  0.7500  0.7187
Cu  0.4482  0.2500  0.7848
Cu  0.5518  0.7500  0.2152
P  0.0757  0.7500  0.4076
P  0.4138  0.7500  0.9030
P  0.5862  0.2500  0.0970
P  0.9243  0.2500  0.5924
O  0.1989  0.5419  0.3390
O  0.1989  0.9581  0.3390
O  0.2137  0.7500  0.5471
O  0.2468  0.2500  0.5910
O  0.2637  0.2500  0.1049
O  0.2668  0.5520  0.8300
O  0.2668  0.9480  0.8300
O  0.3064  0.7500  0.0435
O  0.6936  0.2500  0.9565
O  0.7332  0.0520  0.1700
O  0.7332  0.4480  0.1700
O  0.7363  0.7500  0.8951
O  0.7532  0.7500  0.4090
O  0.7863  0.2500  0.4529
O  0.8011  0.0419  0.6610
O  0.8011  0.4581  0.6610

Largest 8 diffraction maxima, in order of falling intensity, 2θ = 15–90°:
(0 2 0), 2θ 29.32, I 100
(1 1 3), 2θ 35.73, I 68
(1 0 -1), 2θ 20.41, I 62
(1 1 -1), 2θ 25.17, I 53
(1 1 -3), 2θ 35.19, I 52
(1 1 1), 2θ 25.40, I 49
(0 0 2), 2θ 17.23, I 41
(2 2 2), 2θ 52.18, I 30